No. 1
Computed powder diffractogram of LiSnPO4 for a wavelength of 1.5418 Å, from a crystal structure in the Materials Project, relaxed with GGA-PBE.
Lines closer than 0.1° are merged.

Cell and atoms:
Lattice parameters (Å, degrees): 9.035 9.035 9.035 107.28 107.28 107.28
Positions (direct):
Li 0.003 0.801 0.196
Li 0.196 0.003 0.801
Li 0.306 0.472 0.717
Li 0.472 0.717 0.306
Li 0.717 0.306 0.472
Li 0.801 0.196 0.003
Sn 0.030 0.640 0.807
Sn 0.126 0.523 0.358
Sn 0.358 0.126 0.523
Sn 0.523 0.358 0.126
Sn 0.640 0.807 0.030
Sn 0.807 0.030 0.640
P 0.167 0.371 0.966
P 0.371 0.966 0.167
P 0.447 0.863 0.690
P 0.690 0.447 0.863
P 0.863 0.690 0.447
P 0.966 0.167 0.371
O 0.160 0.275 0.491
O 0.175 0.479 0.859
O 0.245 0.912 0.249
O 0.249 0.245 0.912
O 0.266 0.927 0.979
O 0.275 0.491 0.160
O 0.342 0.973 0.690
O 0.345 0.688 0.684
O 0.479 0.859 0.175
O 0.486 0.840 0.531
O 0.491 0.160 0.275
O 0.531 0.486 0.840
O 0.620 0.959 0.858
O 0.684 0.345 0.688
O 0.688 0.684 0.345
O 0.690 0.342 0.973
O 0.840 0.531 0.486
O 0.858 0.620 0.959
O 0.859 0.175 0.479
O 0.912 0.249 0.245
O 0.927 0.979 0.266
O 0.959 0.858 0.620
O 0.973 0.690 0.342
O 0.979 0.266 0.927

Most intense lines, 2θ from 10° to 80°, in order of falling intensity:
d (Å)  I/Imax
4.298  100
2.750  68
3.023  66
3.638  58
2.454  45
4.636  42

---

No. 2
Computed powder diffractogram of Li2Sn3P4O14 for a wavelength of 1.5418 Å, from a crystal structure in the Materials Project, relaxed with GGA-PBE.
Lines closer than 0.1° are merged.

Cell and atoms:
Lattice parameters (Å, degrees): 6.003 7.298 16.324 82.83 84.67 68.57
Positions (direct):
Li 0.120 0.157 0.493
Li 0.302 0.675 0.600
Li 0.698 0.325 0.400
Li 0.880 0.843 0.507
Sn 0.097 0.612 0.323
Sn 0.140 0.280 0.081
Sn 0.270 0.973 0.826
Sn 0.730 0.027 0.174
Sn 0.860 0.720 0.919
Sn 0.903 0.388 0.677
P 0.169 0.081 0.310
P 0.264 0.801 0.043
P 0.386 0.447 0.824
P 0.454 0.767 0.433
P 0.546 0.233 0.567
P 0.614 0.553 0.176
P 0.736 0.199 0.957
P 0.831 0.919 0.690
O 0.012 0.956 0.302
O 0.044 0.240 0.370
O 0.113 0.677 0.032
O 0.126 0.966 0.101
O 0.215 0.656 0.846
O 0.248 0.329 0.796
O 0.259 0.161 0.228
O 0.271 0.864 0.501
O 0.285 0.289 0.549
O 0.360 0.886 0.963
O 0.401 0.589 0.407
O 0.414 0.527 0.235
O 0.414 0.932 0.352
O 0.494 0.338 0.912
O 0.506 0.662 0.088
O 0.586 0.068 0.648
O 0.586 0.473 0.765
O 0.599 0.411 0.593
O 0.640 0.114 0.037
O 0.715 0.711 0.451
O 0.729 0.136 0.499
O 0.741 0.839 0.772
O 0.752 0.671 0.204
O 0.785 0.344 0.154
O 0.874 0.034 0.899
O 0.887 0.323 0.968
O 0.956 0.760 0.630
O 0.988 0.044 0.698

Most intense lines, 2θ from 10° to 80°, in order of falling intensity:
d (Å)  I/Imax
3.381  100
3.357  81
2.773  52
3.782  50
3.198  42
5.457  42

---

No. 3
Computed powder diffractogram of LiSn4P3O12 for a wavelength of 1.5418 Å, from a crystal structure in the Materials Project, relaxed with GGA-PBE.
Lines closer than 0.1° are merged.

Cell and atoms:
Lattice parameters (Å, degrees): 9.695 9.695 7.106 90.00 90.00 120.00
Positions (direct):
Li 0.333 0.667 0.000
Li 0.667 0.333 0.500
Sn 0.017 0.259 0.710
Sn 0.242 0.983 0.710
Sn 0.259 0.242 0.210
Sn 0.333 0.667 0.434
Sn 0.667 0.333 0.934
Sn 0.741 0.758 0.710
Sn 0.758 0.017 0.210
Sn 0.983 0.741 0.210
P 0.017 0.615 0.714
P 0.385 0.402 0.714
P 0.402 0.017 0.214
P 0.598 0.983 0.714
P 0.615 0.598 0.214
P 0.983 0.385 0.214
O 0.072 0.728 0.888
O 0.086 0.728 0.540
O 0.098 0.510 0.725
O 0.166 0.492 0.200
O 0.272 0.344 0.888
O 0.272 0.357 0.540
O 0.326 0.834 0.200
O 0.344 0.072 0.388
O 0.357 0.086 0.040
O 0.411 0.902 0.725
O 0.490 0.589 0.725
O 0.492 0.326 0.700
O 0.508 0.674 0.200
O 0.510 0.411 0.225
O 0.589 0.098 0.225
O 0.643 0.914 0.540
O 0.656 0.928 0.888
O 0.674 0.166 0.700
O 0.728 0.643 0.040
O 0.728 0.656 0.388
O 0.834 0.508 0.700
O 0.902 0.490 0.225
O 0.914 0.272 0.040
O 0.928 0.272 0.388

Most intense lines, 2θ from 10° to 80°, in order of falling intensity:
d (Å)  I/Imax
2.898  100
2.866  38
1.898  32
1.859  26
2.799  26
5.424  25

---

No. 4
Computed powder diffractogram of LiSnPO4 for a wavelength of 1.5418 Å, from a crystal structure in the Materials Project, relaxed with GGA-PBE.
Lines closer than 0.1° are merged.

Cell and atoms:
Lattice parameters (Å, degrees): 5.764 10.007 8.963 90.00 121.49 90.00
Positions (direct):
Li 0.210 0.167 0.004
Li 0.210 0.333 0.504
Li 0.790 0.667 0.496
Li 0.790 0.833 0.996
Sn 0.242 0.641 0.984
Sn 0.242 0.859 0.484
Sn 0.758 0.141 0.516
Sn 0.758 0.359 0.016
P 0.115 0.592 0.277
P 0.115 0.908 0.777
P 0.885 0.092 0.223
P 0.885 0.408 0.723
O 0.006 0.671 0.379
O 0.006 0.829 0.879
O 0.055 0.134 0.424
O 0.055 0.366 0.924
O 0.063 0.060 0.783
O 0.063 0.440 0.283
O 0.411 0.631 0.348
O 0.411 0.869 0.848
O 0.589 0.131 0.152
O 0.589 0.369 0.652
O 0.937 0.560 0.717
O 0.937 0.940 0.217
O 0.945 0.634 0.076
O 0.945 0.866 0.576
O 0.994 0.171 0.121
O 0.994 0.329 0.621

Most intense lines, 2θ from 10° to 80°, in order of falling intensity:
d (Å)  I/Imax
4.412  100
6.074  76
3.762  56
2.814  49
3.946  38
2.565  36

---

No. 5
Computed powder diffractogram of Li3Sn3P4O16 for a wavelength of 1.5418 Å, from a crystal structure in the Materials Project, relaxed with GGA-PBE.
Lines closer than 0.1° are merged.

Cell and atoms:
Lattice parameters (Å, degrees): 7.728 8.606 10.647 90.00 92.65 90.00
Positions (direct):
Li 0.128 0.000 0.076
Li 0.148 0.022 0.583
Li 0.353 0.270 0.663
Li 0.647 0.770 0.337
Li 0.852 0.522 0.417
Li 0.872 0.500 0.924
Sn 0.246 0.649 0.616
Sn 0.246 0.655 0.136
Sn 0.383 0.270 0.159
Sn 0.617 0.770 0.841
Sn 0.754 0.149 0.384
Sn 0.754 0.155 0.864
P 0.035 0.843 0.363
P 0.053 0.830 0.858
P 0.444 0.443 0.881
P 0.463 0.456 0.408
P 0.537 0.956 0.592
P 0.556 0.943 0.119
P 0.947 0.330 0.142
P 0.965 0.343 0.637
O 0.001 0.501 0.116
O 0.019 0.513 0.596
O 0.101 0.215 0.138
O 0.112 0.228 0.643
O 0.122 0.854 0.233
O 0.134 0.823 0.724
O 0.178 0.796 0.465
O 0.191 0.789 0.963
O 0.317 0.487 0.303
O 0.331 0.528 0.777
O 0.336 0.450 0.001
O 0.374 0.462 0.538
O 0.380 0.023 0.094
O 0.390 0.070 0.596
O 0.476 0.272 0.842
O 0.477 0.782 0.609
O 0.523 0.282 0.391
O 0.524 0.772 0.158
O 0.610 0.570 0.404
O 0.620 0.523 0.906
O 0.626 0.962 0.462
O 0.664 0.950 0.999
O 0.669 0.028 0.223
O 0.683 0.987 0.697
O 0.809 0.289 0.037
O 0.822 0.296 0.535
O 0.866 0.323 0.276
O 0.878 0.354 0.767
O 0.888 0.728 0.357
O 0.899 0.715 0.862
O 0.981 0.013 0.404
O 0.999 0.001 0.884

Most intense lines, 2θ from 10° to 80°, in order of falling intensity:
d (Å)  I/Imax
5.747  100
4.291  72
2.877  67
4.477  59
3.102  58
3.521  50